Starting from DFT lattice parameters and positions (PBE), the PXRD pattern of RbAgP2S8 was simulated for Cu Ka.
Intensities are scaled so that the largest is 100.

Principal peaks in the range 2θ from 5° to 70°, low angle first:
7.6°, I 57
21.1°, I 100
27.6°, I 38
31.7°, I 27
32.1°, I 26
35.8°, I 42
38.8°, I 29
45.2°, I 28
51.2°, I 22
57.3°, I 21

Structure:
a b c (Å): 12.0178 12.0178 12.0178
angles (deg): 26.80 26.80 26.80
Atoms (fractional coordinates):
Rb (0.0000, 0.0000, 0.0000)
Ag (0.5000, 0.5000, 0.5000)
P (0.2402, 0.2402, 0.2402)
P (0.7598, 0.7598, 0.7598)
S (0.1080, 0.8200, 0.4245)
S (0.1800, 0.5755, 0.8920)
S (0.2972, 0.2972, 0.2972)
S (0.4245, 0.1080, 0.8200)
S (0.5755, 0.8920, 0.1800)
S (0.7028, 0.7028, 0.7028)
S (0.8200, 0.4245, 0.1080)
S (0.8920, 0.1800, 0.5755)